[1]
Theoretical PXRD pattern of Ac2Ga6Co3 for λ = 1.5418 Å (Cu Kα), from DFT lattice parameters and positions (GGA-PBE).

Top 6 peaks for 10° ≤ 2θ ≤ 90°, by angle:
31.72 deg, 2.821 Å, I 100
35.76 deg, 2.511 Å, I 21
40.75 deg, 2.215 Å, I 34
42.02 deg, 2.150 Å, I 38
61.10 deg, 1.517 Å, I 21
68.54 deg, 1.369 Å, I 26

Crystal structure
Lattice parameters (Å, degrees): 7.671 7.671 4.163 90.00 90.00 120.00
Fractional positions:
1 Ac 0.333 0.667 0.000
2 Ac 0.667 0.333 0.000
3 Ga 0.000 0.297 0.500
4 Ga 0.000 0.803 0.000
5 Ga 0.197 0.197 0.000
6 Ga 0.297 0.000 0.500
7 Ga 0.703 0.703 0.500
8 Ga 0.803 0.000 0.000
9 Co 0.000 0.634 0.500
10 Co 0.366 0.366 0.500
11 Co 0.634 0.000 0.500

[2]
Theoretical PXRD pattern of AcGa6Co2 for λ = 1.5418 Å (Cu Kα), from DFT lattice parameters and positions (GGA-PBE).

Top 6 peaks for 10° ≤ 2θ ≤ 90°, by angle:
25.25 deg, 3.527 Å, I 100
30.57 deg, 2.925 Å, I 62
33.38 deg, 2.684 Å, I 36
40.05 deg, 2.251 Å, I 34
43.77 deg, 2.068 Å, I 91
60.82 deg, 1.523 Å, I 42

Crystal structure
Lattice parameters (Å, degrees): 8.272 8.272 8.272 60.00 60.00 60.00
Fractional positions:
1 Ac 0.125 0.125 0.125
2 Ac 0.875 0.875 0.875
3 Ga 0.162 0.162 0.588
4 Ga 0.162 0.588 0.162
5 Ga 0.162 0.588 0.588
6 Ga 0.412 0.412 0.838
7 Ga 0.412 0.838 0.412
8 Ga 0.412 0.838 0.838
9 Ga 0.588 0.162 0.162
10 Ga 0.588 0.162 0.588
11 Ga 0.588 0.588 0.162
12 Ga 0.838 0.412 0.412
13 Ga 0.838 0.412 0.838
14 Ga 0.838 0.838 0.412
15 Co 0.000 0.500 0.500
16 Co 0.500 0.000 0.500
17 Co 0.500 0.500 0.000
18 Co 0.500 0.500 0.500

[3]
Theoretical PXRD pattern of Ac3Ga2Co2 for λ = 1.5418 Å (Cu Kα), from DFT lattice parameters and positions (GGA-PBE).

Top 6 peaks for 10° ≤ 2θ ≤ 90°, by angle:
24.85 deg, 3.583 Å, I 56
29.93 deg, 2.986 Å, I 100
31.39 deg, 2.850 Å, I 61
34.47 deg, 2.602 Å, I 48
39.95 deg, 2.257 Å, I 42
52.41 deg, 1.746 Å, I 29

Crystal structure
Lattice parameters (Å, degrees): 9.715 9.715 9.715 153.72 153.13 37.94
Fractional positions:
1 Ac 0.000 0.000 0.000
2 Ac 0.177 0.677 0.500
3 Ac 0.823 0.323 0.500
4 Ga 0.371 0.871 0.500
5 Ga 0.629 0.129 0.500
6 Co 0.438 0.438 0.000
7 Co 0.562 0.562 0.000

[4]
Theoretical PXRD pattern of Ac12GaCo5 for λ = 1.5418 Å (Cu Kα), from DFT lattice parameters and positions (GGA-PBE).

Top 6 peaks for 10° ≤ 2θ ≤ 90°, by angle:
26.37 deg, 3.380 Å, I 100
28.53 deg, 3.129 Å, I 77
32.67 deg, 2.741 Å, I 15
42.12 deg, 2.145 Å, I 43
50.37 deg, 1.812 Å, I 38
51.66 deg, 1.769 Å, I 14

Crystal structure
Lattice parameters (Å, degrees): 7.431 7.431 13.755 95.11 95.11 119.97
Fractional positions:
1 Ac 0.041 0.404 0.121
2 Ac 0.128 0.128 0.385
3 Ac 0.203 0.536 0.611
4 Ac 0.323 0.323 0.879
5 Ac 0.404 0.041 0.121
6 Ac 0.464 0.797 0.389
7 Ac 0.536 0.203 0.611
8 Ac 0.596 0.959 0.879
9 Ac 0.677 0.677 0.121
10 Ac 0.797 0.464 0.389
11 Ac 0.872 0.872 0.615
12 Ac 0.959 0.596 0.879
13 Ga 0.000 0.000 0.000
14 Co 0.167 0.833 0.500
15 Co 0.333 0.667 0.000
16 Co 0.500 0.500 0.500
17 Co 0.667 0.333 0.000
18 Co 0.833 0.167 0.500